Structure and simulated powder XRD pattern of Hf7TlTe2 (a cell relaxed with PBE; Cu Kα X-rays).

Top 10 peaks for 5 to 70 degrees two-theta, by intensity:
- hkl 1 5 1, 38.38°, rel. 100.0
- hkl 3 1 1, 38.76°, rel. 72.1
- hkl 0 0 2, 36.66°, rel. 52.7
- hkl 2 4 0, 33.72°, rel. 52.3
- hkl 2 0 0, 22.10°, rel. 50.5
- hkl 0 4 1, 31.17°, rel. 39.9
- hkl 0 0 1, 18.09°, rel. 36.4
- hkl 2 4 2, 50.66°, rel. 33.7
- hkl 1 1 0, 12.64°, rel. 31.4
- hkl 5 5 1, 69.87°, rel. 24.3

Atomic structure:
Lattice parameters (Å, degrees): 8.055 14.153 4.903 90.00 90.00 90.00
Space group Cmmm (No. 65)
Symmetry-distinct sites (fractional):
Hf1 0.000 0.000 0.000 (multiplicity 2)
Hf2 0.000 0.288 0.500 (multiplicity 4)
Hf3 0.179 0.387 0.000 (multiplicity 8)
Tl1 0.000 0.500 0.500 (multiplicity 2)
Te1 0.000 0.198 0.000 (multiplicity 4)